No. 1
Computed XRD peak list
Compound: CaAc4Ga4
Radiation: Cu Kα (weighted mean of Kα1 and Kα2)
Structure: a DFT-relaxed cell (GGA-PBE, Alexandria)
No peak broadening, texture or thermal motion is included.

Cell: 9.626 9.626 6.552 Å, 90.00 90.00 90.00°
Sites, in units of the cell vectors:
1 Ca 0.250 0.250 0.250
2 Ca 0.750 0.750 0.750
3 Ac 0.061 0.665 0.112
4 Ac 0.165 0.939 0.612
5 Ac 0.335 0.561 0.612
6 Ac 0.439 0.835 0.112
7 Ac 0.561 0.165 0.888
8 Ac 0.665 0.439 0.388
9 Ac 0.835 0.061 0.388
10 Ac 0.939 0.335 0.888
11 Ga 0.009 0.616 0.600
12 Ga 0.116 0.991 0.100
13 Ga 0.384 0.509 0.100
14 Ga 0.491 0.884 0.600
15 Ga 0.509 0.116 0.400
16 Ga 0.616 0.491 0.900
17 Ga 0.884 0.009 0.900
18 Ga 0.991 0.384 0.400

Largest 8 diffraction maxima, in order of falling intensity, 15° ≤ 2θ ≤ 90°:
2θ 29.3, rel. 100
2θ 28.8, rel. 65
2θ 24.7, rel. 48
2θ 43.7, rel. 39
2θ 34.4, rel. 38
2θ 42.0, rel. 34
2θ 64.6, rel. 31
2θ 32.4, rel. 31

***

No. 2
Computed XRD peak list
Compound: Ca2NdTm
Radiation: Cu Kα (weighted mean of Kα1 and Kα2)
Structure: a DFT-relaxed cell (GGA-PBE, Alexandria)
No peak broadening, texture or thermal motion is included.

Cell: 4.140 4.140 8.390 Å, 90.00 90.00 90.00°
Sites, in units of the cell vectors:
1 Ca 0.000 0.000 0.242
2 Ca 0.000 0.000 0.758
3 Nd 0.500 0.500 0.500
4 Tm 0.500 0.500 0.000

Largest 8 diffraction maxima, in order of falling intensity, 15° ≤ 2θ ≤ 90°:
2θ 30.3, rel. 100
2θ 30.5, rel. 49
2θ 54.1, rel. 38
2θ 21.5, rel. 37
2θ 21.2, rel. 19
2θ 53.8, rel. 19
2θ 37.5, rel. 19
2θ 43.7, rel. 18

***

No. 3
Computed XRD peak list
Compound: PmDy10Er4
Radiation: Cu Kα (weighted mean of Kα1 and Kα2)
Structure: a DFT-relaxed cell (GGA-PBE, Alexandria)
No peak broadening, texture or thermal motion is included.

Cell: 8.604 8.604 8.604 Å, 111.71 111.71 105.08°
Sites, in units of the cell vectors:
1 Pm 0.000 0.000 0.000
2 Dy 0.127 0.454 0.899
3 Dy 0.228 0.127 0.673
4 Dy 0.250 0.750 0.500
5 Dy 0.444 0.772 0.899
6 Dy 0.454 0.556 0.327
7 Dy 0.546 0.444 0.673
8 Dy 0.556 0.228 0.101
9 Dy 0.750 0.250 0.500
10 Dy 0.772 0.873 0.327
11 Dy 0.873 0.546 0.101
12 Er 0.069 0.336 0.406
13 Er 0.336 0.931 0.267
14 Er 0.664 0.069 0.733
15 Er 0.931 0.664 0.594

Largest 8 diffraction maxima, in order of falling intensity, 15° ≤ 2θ ≤ 90°:
2θ 29.2, rel. 100
2θ 33.0, rel. 93
2θ 34.0, rel. 78
2θ 27.2, rel. 72
2θ 29.0, rel. 71
2θ 34.6, rel. 49
2θ 45.4, rel. 36
2θ 41.8, rel. 28